This entry pairs a crystal structure of K2UBr5 with its calculated powder X-ray diffraction pattern. Radiation: Cu Kα. Structure: the GGA-PBE geometry in the Materials Project.
Intensities are scaled so that the largest is 100.

Top 10 peaks for 2θ = 5–70°, sorted by position:
| 2theta | I (rel.) | (hkl) |
| --- | --- | --- |
| 12.1 | 100.0 | 1 0 1 |
| 12.9 | 56.8 | 2 0 0 |
| 19.2 | 44.4 | 0 2 0 |
| 28.0 | 31.9 | 4 0 1 |
| 29.1 | 40.7 | 1 2 2 |
| 31.2 | 45.6 | 2 2 2 |
| 32.5 | 41.7 | 4 2 0 |
| 35.3 | 46.2 | 2 1 3 |
| 38.9 | 31.2 | 0 4 0 |
| 39.6 | 30.6 | 5 2 1 |

Structure:
Cell lengths 13.7311, 9.2553, 8.5999 Å; angles 90.00, 90.00, 90.00 degrees
Space group Pnma (No. 62)
One atom of each set of equivalent atoms:
K: 0.1728 0.0049 0.0529 (multiplicity 8)
U: 0.0035 0.2500 0.5749 (multiplicity 4)
Br: 0.0071 0.2500 0.9248 (multiplicity 4)
Br: 0.0780 0.5443 0.6640 (multiplicity 8)
Br: 0.1800 0.2500 0.3759 (multiplicity 4)
Br: 0.2046 0.7500 0.3353 (multiplicity 4)